Hf2Zn2N: simulated X-ray powder pattern (Cu Ka), based on a structure optimized by DFT (PBE).

Structural model:
```
Hf2Zn2N
1.0
4.3668 0.0000 0.0000
0.0000 4.3668 0.0000
0.0000 0.0000 4.1584
Hf Zn N
2 2 1
Cartesian
0.0000 2.1834 0.0000 Hf
2.1834 0.0000 0.0000 Hf
0.0000 0.0000 2.0792 Zn
2.1834 2.1834 2.0792 Zn
0.0000 0.0000 0.0000 N
```

Peak list (12 most intense, 2θ = 10–80°, by intensity)
2theta  d/Å  I/Imax  h k l
36.24  2.479  100  1 1 1
41.35  2.183  39  2 0 0
72.06  1.311  27  3 1 1
61.59  1.506  23  2 0 2
21.37  4.158  20  0 0 1
43.53  2.079  17  0 0 2
28.92  3.088  14  1 1 0
59.91  1.544  13  2 2 0
76.92  1.240  12  2 2 2
75.13  1.265  12  1 1 3
47.01  1.933  10  2 0 1
53.10  1.725  6  1 1 2